Record 1
HoErAs2Pt2: computed powder diffraction line list (Cu Kα (λ = 1.5418 Å)), based on a crystal structure in OQMD, relaxed with GGA-PBE.
Neutral-atom scattering factors, no anomalous dispersion.

Largest 10 diffraction maxima, by angle, 2θ = 15–90°:
| hkl | 2theta | Rel. int. |
| --- | --- | --- |
| 1 0 1 | 24.69 | 17 |
| 1 0 4 | 33.94 | 100 |
| 1 0 5 | 38.53 | 12 |
| 1 1 0 | 42.14 | 60 |
| 0 0 8 | 48.45 | 11 |
| 2 0 4 | 55.17 | 25 |
| 1 1 8 | 66.12 | 26 |
| 2 1 4 | 71.78 | 23 |
| 3 0 0 | 77.03 | 10 |
| 1 0 12 | 81.01 | 6 |

Atomic structure:
Lattice parameters (Å, degrees): 4.2884 4.2884 15.0318 90.00 90.00 120.00
Sites, in units of the cell vectors:
Ho 0.0000 0.0000 0.2500
Ho 0.0000 0.0000 0.7500
Er 0.0000 0.0000 0.0000
Er 0.0000 0.0000 0.5000
As 0.3333 0.6667 0.1143
As 0.3333 0.6667 0.3857
As 0.6667 0.3333 0.6143
As 0.6667 0.3333 0.8857
Pt 0.3333 0.6667 0.6365
Pt 0.3333 0.6667 0.8635
Pt 0.6667 0.3333 0.1365
Pt 0.6667 0.3333 0.3635

=====

Record 2
SmErInNi2: computed powder diffraction line list (Cu Kα (λ = 1.5418 Å)), based on a crystal structure in OQMD, relaxed with GGA-PBE.
Neutral-atom scattering factors, no anomalous dispersion.

Largest 10 diffraction maxima, by angle, 2θ = 15–90°:
| hkl | 2theta | Rel. int. |
| --- | --- | --- |
| 0 1 3 | 29.46 | 42 |
| 1 1 1 | 33.86 | 100 |
| 1 0 4 | 34.93 | 72 |
| 1 1 3 | 38.39 | 36 |
| 0 1 5 | 38.98 | 34 |
| 0 2 0 | 46.17 | 25 |
| 2 0 0 | 49.27 | 21 |
| 1 1 7 | 56.59 | 18 |
| 1 2 4 | 59.17 | 31 |
| 2 1 5 | 64.54 | 15 |

Atomic structure:
Lattice parameters (Å, degrees): 3.6992 3.9325 14.2793 90.00 90.00 90.00
Sites, in units of the cell vectors:
Sm 0.0000 0.0000 0.0000
Sm 0.0000 0.5000 0.5000
Er 0.0000 0.0000 0.2753
Er 0.0000 0.5000 0.7753
In 0.5000 0.0000 0.6407
In 0.5000 0.5000 0.1407
Ni 0.5000 0.0000 0.4347
Ni 0.5000 0.0000 0.8331
Ni 0.5000 0.5000 0.3331
Ni 0.5000 0.5000 0.9347